Record 1
Theoretical powder X-ray diffraction pattern of MgV3CoSn2P6O24 for Cu Kα, from a DFT-relaxed cell (PBE+U, the Materials Project).
Kinematic intensities with the Lorentz-polarization factor, no thermal factor.

Unit cell a=8.4654 b=8.5033 c=9.7115 alpha=90.29 beta=115.65 gamma=119.70
Space group P1 (No. 1)
Unique sites:
1 Mg 0.0000 0.0000 0.0000 [1 per cell]
2 V 0.1800 0.5972 0.7857 [1 per cell]
3 V 0.2085 0.1127 0.3214 [1 per cell]
4 V 0.5561 0.7821 0.3403 [1 per cell]
5 Co 0.5465 0.2830 0.8438 [1 per cell]
6 Sn 0.7779 0.9008 0.6881 [1 per cell]
7 Sn 0.8155 0.4113 0.2355 [1 per cell]
8 P 0.0954 0.9107 0.5862 [1 per cell]
9 P 0.0968 0.6953 0.0817 [1 per cell]
10 P 0.3784 0.4830 0.5840 [1 per cell]
11 P 0.3806 0.4127 0.0794 [1 per cell]
12 P 0.6631 0.9769 0.0771 [1 per cell]
13 P 0.6674 0.2008 0.5857 [1 per cell]
14 O 0.1071 0.7489 0.6419 [1 per cell]
15 O 0.1080 0.8737 0.1392 [1 per cell]
16 O 0.1188 0.7050 0.9347 [1 per cell]
17 O 0.1213 0.9304 0.4391 [1 per cell]
18 O 0.2274 0.3169 0.4304 [1 per cell]
19 O 0.2298 0.0919 0.7219 [1 per cell]
20 O 0.2296 0.4365 0.9387 [1 per cell]
21 O 0.2535 0.5208 0.6369 [1 per cell]
22 O 0.2567 0.2409 0.1304 [1 per cell]
23 O 0.2762 0.6970 0.2315 [1 per cell]
24 O 0.4962 0.6611 0.5222 [1 per cell]
25 O 0.4986 0.8074 0.9325 [1 per cell]
26 O 0.5044 0.2078 0.4341 [1 per cell]
27 O 0.5324 0.3900 0.0449 [1 per cell]
28 O 0.5322 0.5826 0.2358 [1 per cell]
29 O 0.5556 0.4754 0.7162 [1 per cell]
30 O 0.6134 0.1535 0.7175 [1 per cell]
31 O 0.6458 0.9512 0.2327 [1 per cell]
32 O 0.6530 0.1519 0.0482 [1 per cell]
33 O 0.6602 0.0184 0.5197 [1 per cell]
34 O 0.8535 0.8529 0.5212 [1 per cell]
35 O 0.8855 0.3729 0.6417 [1 per cell]
36 O 0.8863 0.0232 0.1290 [1 per cell]
37 O 0.8905 0.5129 0.0505 [1 per cell]

Peak list (8 most intense, 15° ≤ 2θ ≤ 90°, sorted by position)
2θ 18.5, d 4.787, intensity 31, hkl 1 0 -2
2θ 20.9, d 4.256, intensity 100, hkl 1 -2 0
2θ 21.0, d 4.233, intensity 46, hkl -2 1 1
2θ 23.4, d 3.797, intensity 62, hkl 1 1 -2
2θ 23.5, d 3.781, intensity 34, hkl 2 -1 0
2θ 29.9, d 2.991, intensity 65, hkl 1 1 -3
2θ 36.7, d 2.448, intensity 34, hkl 3 0 -2
2θ 48.7, d 1.868, intensity 30, hkl -1 3 3

Record 2
Theoretical powder X-ray diffraction pattern of Li9Mn7O16 for Cu Kα, from a DFT-relaxed cell (PBE+U, the Materials Project).
Kinematic intensities with the Lorentz-polarization factor, no thermal factor.

Unit cell a=10.6441 b=11.5233 c=5.2744 alpha=90.00 beta=113.07 gamma=90.00
Space group C2/m (No. 12)
Unique sites:
1 Li 0.0000 0.0000 0.0000 [2 per cell]
2 Li 0.0000 0.1203 0.5000 [4 per cell]
3 Li 0.0000 0.3738 0.5000 [4 per cell]
4 Li 0.2416 0.0000 0.4915 [4 per cell]
5 Li 0.2500 0.2500 0.5000 [4 per cell]
6 Mn 0.0000 0.2466 0.0000 [4 per cell]
7 Mn 0.0000 0.5000 0.0000 [2 per cell]
8 Mn 0.2455 0.1245 0.0049 [8 per cell]
9 O 0.1175 0.3760 0.2193 [8 per cell]
10 O 0.1246 0.1321 0.2266 [8 per cell]
11 O 0.1368 0.2506 0.7683 [8 per cell]
12 O 0.1392 0.0000 0.7677 [4 per cell]
13 O 0.1386 0.5000 0.7643 [4 per cell]

Peak list (8 most intense, 15° ≤ 2θ ≤ 90°, sorted by position)
2θ 18.3, d 4.853, intensity 100, hkl 0 0 1
2θ 33.9, d 2.641, intensity 18, hkl 4 0 -1
2θ 36.2, d 2.483, intensity 24, hkl 2 4 0
2θ 40.8, d 2.210, intensity 36, hkl 4 0 -2
2θ 44.2, d 2.051, intensity 55, hkl 2 4 1
2θ 61.5, d 1.509, intensity 17, hkl 6 4 -1
2θ 61.9, d 1.498, intensity 17, hkl 2 4 -3
2θ 63.7, d 1.461, intensity 11, hkl 4 0 2

Record 3
Theoretical powder X-ray diffraction pattern of Ti3Fe5O12 for Cu Kα, from a DFT-relaxed cell (PBE+U, the Materials Project).
Kinematic intensities with the Lorentz-polarization factor, no thermal factor.

Unit cell a=5.1568 b=5.5443 c=7.5944 alpha=95.32 beta=90.23 gamma=90.03
Space group P1 (No. 1)
Unique sites:
1 Ti 0.0000 0.0000 0.0000 [1 per cell]
2 Ti 0.0069 0.9832 0.4963 [1 per cell]
3 Ti 0.5109 0.4788 0.4877 [1 per cell]
4 Fe 0.0037 0.4127 0.7837 [1 per cell]
5 Fe 0.0045 0.4103 0.2775 [1 per cell]
6 Fe 0.5041 0.9049 0.2810 [1 per cell]
7 Fe 0.5056 0.4869 0.9923 [1 per cell]
8 Fe 0.5058 0.9015 0.7859 [1 per cell]
9 O 0.1555 0.0294 0.7219 [1 per cell]
10 O 0.1712 0.3336 0.0299 [1 per cell]
11 O 0.1949 0.7187 0.4057 [1 per cell]
12 O 0.3104 0.2129 0.4063 [1 per cell]
13 O 0.3242 0.8434 0.0243 [1 per cell]
14 O 0.3810 0.5456 0.7228 [1 per cell]
15 O 0.6322 0.5351 0.2397 [1 per cell]
16 O 0.6840 0.8473 0.5474 [1 per cell]
17 O 0.6966 0.1918 0.8968 [1 per cell]
18 O 0.8050 0.7193 0.9043 [1 per cell]
19 O 0.8269 0.3375 0.5373 [1 per cell]
20 O 0.8774 0.0255 0.2295 [1 per cell]

Peak list (8 most intense, 15° ≤ 2θ ≤ 90°, sorted by position)
2θ 23.6, d 3.772, intensity 29, hkl 1 1 0
2θ 32.5, d 2.759, intensity 100, hkl 1 -1 2
2θ 34.6, d 2.593, intensity 24, hkl -1 1 2
2θ 34.8, d 2.581, intensity 48, hkl 1 1 2
2θ 48.1, d 1.890, intensity 13, hkl 0 0 4
2θ 48.3, d 1.884, intensity 26, hkl 2 -2 0
2θ 52.8, d 1.735, intensity 16, hkl 1 1 -4
2θ 52.8, d 1.732, intensity 24, hkl 1 3 0

Record 4
Theoretical powder X-ray diffraction pattern of Li5Mn3O8 for Cu Kα, from a DFT-relaxed cell (PBE+U, the Materials Project).
Kinematic intensities with the Lorentz-polarization factor, no thermal factor.

Unit cell a=2.9181 b=5.9558 c=8.2522 alpha=89.98 beta=89.31 gamma=88.06
Space group P-1 (No. 2)
Unique sites:
1 Li 0.0000 0.0000 0.0000 [1 per cell]
2 Li 0.0000 0.0000 0.5000 [1 per cell]
3 Li 0.0000 0.5000 0.0000 [1 per cell]
4 Li 0.5004 0.2431 0.7675 [2 per cell]
5 Mn 0.0000 0.5000 0.5000 [1 per cell]
6 Mn 0.4957 0.2432 0.2370 [2 per cell]
7 O 0.0092 0.0282 0.2510 [2 per cell]
8 O 0.0186 0.5282 0.7468 [2 per cell]
9 O 0.4628 0.2632 0.4902 [2 per cell]
10 O 0.4970 0.7490 0.9814 [2 per cell]

Peak list (8 most intense, 15° ≤ 2θ ≤ 90°, sorted by position)
2θ 18.4, d 4.828, intensity 100, hkl 0 1 -1
2θ 35.4, d 2.535, intensity 11, hkl 1 1 1
2θ 36.0, d 2.497, intensity 11, hkl 0 1 3
2θ 36.5, d 2.459, intensity 10, hkl -1 1 1
2θ 42.7, d 2.119, intensity 30, hkl 1 2 0
2θ 43.9, d 2.063, intensity 26, hkl 0 0 4
2θ 44.2, d 2.049, intensity 27, hkl 1 -2 0
2θ 63.8, d 1.459, intensity 14, hkl 2 0 0

Question: Number 4 is which compound?
Answer: Li5Mn3O8